# 1
Starting from DFT lattice parameters and positions (GGA-PBE), the powder X-ray diffraction pattern of PmYPt was simulated for copper Kα.
Peak positions follow from Bragg's law for the DFT cell and can differ from measured ones.

Top 10 peaks for 2θ = 10–80°, by angle:
Position (°2θ), I (rel.)
20.98, 14
30.52, 100
38.43, 58
44.19, 12
48.51, 30
49.85, 26
63.52, 13
64.65, 23
69.51, 10
76.75, 16

Structure:
Cell: 4.684 4.684 4.234 Å, 90.00 90.00 120.00°
Sites, in units of the cell vectors:
Pm1 0.000 0.000 0.000
Y1 0.333 0.667 0.523
Pt1 0.667 0.333 0.301

***

# 2
Starting from DFT lattice parameters and positions (GGA-PBE), the powder X-ray diffraction pattern of K4AcRe3O12 was simulated for copper Kα.
Peak positions follow from Bragg's law for the DFT cell and can differ from measured ones.

Top 10 peaks for 2θ = 10–80°, by angle:
Position (°2θ), I (rel.)
21.32, 71
30.33, 100
37.38, 9
43.43, 30
48.87, 32
53.89, 40
63.10, 19
67.42, 16
71.61, 18
79.72, 6

Structure:
Cell: 7.217 7.217 7.217 Å, 109.47 109.47 109.47°
Sites, in units of the cell vectors:
K1 0.000 0.000 0.500
K2 0.000 0.500 0.000
K3 0.500 0.000 0.000
K4 0.500 0.500 0.500
Ac1 0.000 0.000 0.000
Re1 0.000 0.500 0.500
Re2 0.500 0.000 0.500
Re3 0.500 0.500 0.000
O1 0.000 0.280 0.280
O2 0.000 0.720 0.720
O3 0.250 0.500 0.750
O4 0.250 0.750 0.500
O5 0.280 0.000 0.280
O6 0.280 0.280 0.000
O7 0.500 0.250 0.750
O8 0.500 0.750 0.250
O9 0.720 0.000 0.720
O10 0.720 0.720 0.000
O11 0.750 0.250 0.500
O12 0.750 0.500 0.250

***

# 3
Starting from DFT lattice parameters and positions (GGA-PBE), the powder X-ray diffraction pattern of Ho2Mg2Hg3 was simulated for copper Kα.
Peak positions follow from Bragg's law for the DFT cell and can differ from measured ones.

Top 10 peaks for 2θ = 10–80°, by angle:
Position (°2θ), I (rel.)
13.09, 21
31.73, 58
34.21, 90
35.52, 100
36.39, 53
57.24, 21
61.52, 18
62.42, 33
63.25, 23
64.44, 20

Structure:
Cell: 13.643 13.643 3.614 Å, 90.00 90.00 164.98°
Sites, in units of the cell vectors:
Ho1 0.071 0.929 0.000
Ho2 0.929 0.071 0.000
Mg1 0.203 0.797 0.000
Mg2 0.797 0.203 0.000
Hg1 0.359 0.641 0.500
Hg2 0.500 0.500 0.500
Hg3 0.641 0.359 0.500